Structure and simulated XRD peak list of YVSe2O8 (a crystal structure in Alexandria, relaxed with PBE+U; Cu Kα (weighted mean of Kα1 and Kα2)).
Peak positions follow from Bragg's law for the DFT cell and can differ from measured ones.

Structure:
```
data_YVSe2O8
_cell_length_a 10.8335
_cell_length_b 7.3519
_cell_length_c 8.1885
_cell_angle_alpha 90.00
_cell_angle_beta 90.00
_cell_angle_gamma 90.00
_space_group_name_H-M_alt 'A e m 2'
_space_group_IT_number 39
loop_
_space_group_symop_operation_xyz
'x,y,z'
'-x,-y,z'
'-x,y+1/2,z'
'x,-y+1/2,z'
'x,y+1/2,z+1/2'
'-x,-y+1/2,z+1/2'
'-x,y,z+1/2'
'x,-y,z+1/2'
loop_
_atom_site_label
_atom_site_type_symbol
_atom_site_fract_x
_atom_site_fract_y
_atom_site_fract_z
Y1 Y 0.0000 0.0000 0.0000
V1 V 0.5000 0.0000 0.4983
Se1 Se 0.1985 0.2500 0.3107
Se2 Se 0.2711 0.2500 0.8498
O1 O 0.1096 0.0686 0.2439
O2 O 0.1233 0.2500 0.9319
O3 O 0.1345 0.2500 0.5090
O4 O 0.3245 0.0610 0.9593
O5 O 0.4668 0.2500 0.4603
O6 O 0.5000 0.0000 0.1988
```

Largest 8 diffraction maxima, in order of falling intensity, 15° ≤ 2θ ≤ 90°:
d (Å), 2θ/deg, intensity
3.042, 29.36, 100
3.266, 27.30, 81
2.735, 32.74, 49
4.094, 21.71, 46
1.925, 47.23, 31
3.849, 23.11, 29
2.708, 33.08, 27
1.602, 57.53, 25